1.
Diffraction record for Tb5Se2O10F3. The PXRD pattern is calculated, not measured: it uses a crystal structure in OQMD, relaxed with PBE and Cu Kα X-rays.
No peak broadening, texture or thermal motion is included.

Atomic structure:
a = 6.4779 Å, b = 6.4779 Å, c = 8.8314 Å
α = 95.07°, β = 95.07°, γ = 49.55°
Atoms (fractional coordinates):
Tb (0.0000, 0.0000, 0.0000)
Tb (0.2779, 0.2779, 0.8764)
Tb (0.4178, 0.4178, 0.2591)
Tb (0.5822, 0.5822, 0.7409)
Tb (0.7221, 0.7221, 0.1236)
Se (0.1113, 0.1113, 0.3660)
Se (0.8887, 0.8887, 0.6340)
O (0.1190, 0.6024, 0.0641)
O (0.1607, 0.6836, 0.7672)
O (0.2544, 0.2544, 0.3691)
O (0.3164, 0.8393, 0.2328)
O (0.3976, 0.8810, 0.9359)
O (0.6024, 0.1190, 0.0641)
O (0.6836, 0.1607, 0.7672)
O (0.7456, 0.7456, 0.6309)
O (0.8393, 0.3164, 0.2328)
O (0.8810, 0.3976, 0.9359)
F (0.1398, 0.1398, 0.6698)
F (0.5000, 0.5000, 0.5000)
F (0.8602, 0.8602, 0.3302)

Most intense lines, 2θ from 10° to 80°, low angle first:
d 8.790, I = 46
d 3.215, I = 86
d 3.059, I = 100
d 2.728, I = 18
d 2.715, I = 34
d 2.699, I = 17
d 2.474, I = 22
d 1.924, I = 26
d 1.914, I = 24
d 1.626, I = 15

---

2.
Diffraction record for Tb2SeOF2. The PXRD pattern is calculated, not measured: it uses a crystal structure in OQMD, relaxed with PBE and Cu Kα X-rays.
No peak broadening, texture or thermal motion is included.

Atomic structure:
a = 13.2844 Å, b = 13.2844 Å, c = 3.7270 Å
α = 90.00°, β = 90.00°, γ = 120.00°
Atoms (fractional coordinates):
Tb (0.0553, 0.7674, 0.2500)
Tb (0.1187, 0.5158, 0.2500)
Tb (0.2326, 0.2880, 0.2500)
Tb (0.2880, 0.0553, 0.7500)
Tb (0.3971, 0.8813, 0.2500)
Tb (0.4842, 0.6029, 0.2500)
Tb (0.5158, 0.3971, 0.7500)
Tb (0.6029, 0.1187, 0.7500)
Tb (0.7120, 0.9447, 0.2500)
Tb (0.7674, 0.7120, 0.7500)
Tb (0.8813, 0.4842, 0.7500)
Tb (0.9447, 0.2326, 0.7500)
Se (0.2070, 0.7189, 0.7500)
Se (0.2811, 0.4881, 0.7500)
Se (0.4881, 0.2070, 0.2500)
Se (0.5119, 0.7930, 0.7500)
Se (0.7189, 0.5119, 0.2500)
Se (0.7930, 0.2811, 0.2500)
O (0.0141, 0.4262, 0.7500)
O (0.4120, 0.9859, 0.7500)
O (0.4262, 0.4120, 0.2500)
O (0.5738, 0.5880, 0.7500)
O (0.5880, 0.0141, 0.2500)
O (0.9859, 0.5738, 0.2500)
F (0.0678, 0.3149, 0.2500)
F (0.0988, 0.8952, 0.7500)
F (0.1048, 0.2036, 0.7500)
F (0.2036, 0.0988, 0.2500)
F (0.2471, 0.9322, 0.2500)
F (0.3149, 0.2471, 0.7500)
F (0.6851, 0.7529, 0.2500)
F (0.7529, 0.0678, 0.7500)
F (0.7964, 0.9012, 0.7500)
F (0.8952, 0.7964, 0.2500)
F (0.9012, 0.1048, 0.2500)
F (0.9322, 0.6851, 0.7500)

Most intense lines, 2θ from 10° to 80°, low angle first:
d 6.642, I = 33
d 3.191, I = 100
d 2.830, I = 98
d 2.673, I = 76
d 2.480, I = 44
d 2.424, I = 39
d 1.864, I = 30
d 1.842, I = 47
d 1.651, I = 39
d 1.310, I = 30

---

3.
Diffraction record for ZrSeO3F. The PXRD pattern is calculated, not measured: it uses a crystal structure in OQMD, relaxed with PBE and Cu Kα X-rays.
No peak broadening, texture or thermal motion is included.

Atomic structure:
a = 4.0742 Å, b = 6.3292 Å, c = 6.4926 Å
α = 85.50°, β = 89.34°, γ = 80.35°
Atoms (fractional coordinates):
Zr (0.0152, 0.0885, 0.2688)
Zr (0.9848, 0.9115, 0.7312)
Se (0.3601, 0.5851, 0.1850)
Se (0.6399, 0.4149, 0.8150)
O (0.0624, 0.7962, 0.0757)
O (0.0925, 0.4165, 0.2671)
O (0.2183, 0.8368, 0.4664)
O (0.7817, 0.1632, 0.5336)
O (0.9075, 0.5835, 0.7329)
O (0.9376, 0.2038, 0.9243)
F (0.4774, 0.9291, 0.8171)
F (0.5226, 0.0709, 0.1829)

Most intense lines, 2θ from 10° to 80°, low angle first:
d 3.665, I = 100
d 3.411, I = 58
d 3.236, I = 80
d 2.893, I = 44
d 2.874, I = 34
d 2.784, I = 38
d 2.722, I = 49
d 2.374, I = 25
d 2.335, I = 29
d 1.815, I = 29

---

4.
Diffraction record for Sm4O3F4. The PXRD pattern is calculated, not measured: it uses a crystal structure in OQMD, relaxed with PBE and Cu Kα X-rays.
No peak broadening, texture or thermal motion is included.

Atomic structure:
a = 3.6593 Å, b = 7.3391 Å, c = 5.9981 Å
α = 90.00°, β = 90.00°, γ = 90.00°
Atoms (fractional coordinates):
Sm (0.0000, 0.0000, 0.0000)
Sm (0.0000, 0.5000, 0.0071)
Sm (0.5000, 0.2524, 0.5714)
Sm (0.5000, 0.7476, 0.5714)
O (0.0000, 0.2626, 0.7867)
O (0.0000, 0.7374, 0.7867)
O (0.5000, 0.0000, 0.7837)
F (0.0000, 0.0000, 0.3998)
F (0.0000, 0.5000, 0.4060)
F (0.5000, 0.2366, 0.1728)
F (0.5000, 0.7634, 0.1728)

Most intense lines, 2θ from 10° to 80°, low angle first:
d 3.127, I = 100
d 2.999, I = 18
d 2.591, I = 42
d 2.321, I = 16
d 1.961, I = 32
d 1.830, I = 10
d 1.755, I = 20
d 1.582, I = 20
d 1.580, I = 14
d 1.267, I = 13

---

5.
Diffraction record for Ta4TlO5F. The PXRD pattern is calculated, not measured: it uses a crystal structure in OQMD, relaxed with PBE and Cu Kα X-rays.
No peak broadening, texture or thermal motion is included.

Atomic structure:
a = 4.1661 Å, b = 4.1661 Å, c = 8.4137 Å
α = 90.00°, β = 90.00°, γ = 90.00°
Atoms (fractional coordinates):
Ta (0.0000, 0.0000, 0.2363)
Ta (0.0000, 0.0000, 0.7637)
Ta (0.0000, 0.5000, 0.0000)
Ta (0.5000, 0.0000, 0.0000)
Tl (0.5000, 0.5000, 0.5000)
O (0.0000, 0.5000, 0.2509)
O (0.0000, 0.5000, 0.7491)
O (0.5000, 0.0000, 0.2509)
O (0.5000, 0.0000, 0.7491)
O (0.5000, 0.5000, 0.0000)
F (0.0000, 0.0000, 0.5000)

Most intense lines, 2θ from 10° to 80°, low angle first:
d 8.414, I = 33
d 3.733, I = 22
d 2.960, I = 100
d 2.780, I = 79
d 2.413, I = 32
d 2.103, I = 31
d 2.083, I = 64
d 2.031, I = 49
d 1.704, I = 40
d 1.480, I = 40

---

6.
Diffraction record for Tb3O2F5. The PXRD pattern is calculated, not measured: it uses a crystal structure in OQMD, relaxed with PBE and Cu Kα X-rays.
No peak broadening, texture or thermal motion is included.

Atomic structure:
a = 5.5606 Å, b = 16.8540 Å, c = 5.3140 Å
α = 90.00°, β = 90.00°, γ = 90.00°
Atoms (fractional coordinates):
Tb (0.1947, 0.0951, 0.0342)
Tb (0.1947, 0.4049, 0.0342)
Tb (0.2447, 0.7500, 0.9588)
Tb (0.2553, 0.2500, 0.4588)
Tb (0.3053, 0.5951, 0.5342)
Tb (0.3053, 0.9049, 0.5342)
Tb (0.6947, 0.0951, 0.4658)
Tb (0.6947, 0.4049, 0.4658)
Tb (0.7447, 0.7500, 0.5412)
Tb (0.7553, 0.2500, 0.0412)
Tb (0.8053, 0.5951, 0.9658)
Tb (0.8053, 0.9049, 0.9658)
O (0.0191, 0.6671, 0.7025)
O (0.0191, 0.8329, 0.7025)
O (0.4809, 0.1671, 0.2025)
O (0.4809, 0.3329, 0.2025)
O (0.5191, 0.6671, 0.7975)
O (0.5191, 0.8329, 0.7975)
O (0.9809, 0.1671, 0.2975)
O (0.9809, 0.3329, 0.2975)
F (0.0772, 0.5091, 0.7601)
F (0.0772, 0.9909, 0.7601)
F (0.1426, 0.2500, 0.8727)
F (0.1603, 0.6255, 0.1599)
F (0.1603, 0.8745, 0.1599)
F (0.3397, 0.1255, 0.6599)
F (0.3397, 0.3745, 0.6599)
F (0.3574, 0.7500, 0.3727)
F (0.4228, 0.0091, 0.2601)
F (0.4228, 0.4909, 0.2601)
F (0.5772, 0.5091, 0.7399)
F (0.5772, 0.9909, 0.7399)
F (0.6426, 0.2500, 0.6273)
F (0.6603, 0.6255, 0.3401)
F (0.6603, 0.8745, 0.3401)
F (0.8397, 0.1255, 0.8401)
F (0.8397, 0.3745, 0.8401)
F (0.8574, 0.7500, 0.1273)
F (0.9228, 0.0091, 0.2399)
F (0.9228, 0.4909, 0.2399)

Most intense lines, 2θ from 10° to 80°, low angle first:
d 3.171, I = 100
d 2.809, I = 16
d 2.780, I = 14
d 2.657, I = 11
d 1.976, I = 14
d 1.930, I = 15
d 1.921, I = 11
d 1.683, I = 14
d 1.671, I = 9
d 1.616, I = 15

---

7.
Diffraction record for Tc2O5F4. The PXRD pattern is calculated, not measured: it uses a crystal structure in OQMD, relaxed with PBE and Cu Kα X-rays.
No peak broadening, texture or thermal motion is included.

Atomic structure:
a = 7.7949 Å, b = 14.0459 Å, c = 5.1097 Å
α = 90.00°, β = 90.49°, γ = 90.00°
Atoms (fractional coordinates):
Tc (0.1238, 0.1245, 0.1783)
Tc (0.1238, 0.3755, 0.6783)
Tc (0.3737, 0.6391, 0.9813)
Tc (0.3737, 0.8609, 0.4813)
Tc (0.6263, 0.1391, 0.5187)
Tc (0.6263, 0.3609, 0.0187)
Tc (0.8762, 0.6245, 0.3217)
Tc (0.8762, 0.8755, 0.8217)
O (0.0562, 0.5925, 0.4916)
O (0.0562, 0.9075, 0.9916)
O (0.1423, 0.0508, 0.4414)
O (0.1423, 0.4492, 0.9414)
O (0.2975, 0.1026, 0.9887)
O (0.2975, 0.3974, 0.4887)
O (0.3831, 0.5872, 0.6855)
O (0.3831, 0.9128, 0.1855)
O (0.3939, 0.5459, 0.1862)
O (0.3939, 0.9541, 0.6862)
O (0.6061, 0.0459, 0.3138)
O (0.6061, 0.4541, 0.8138)
O (0.6169, 0.0872, 0.8145)
O (0.6169, 0.4128, 0.3145)
O (0.7025, 0.6026, 0.5113)
O (0.7025, 0.8974, 0.0113)
O (0.8577, 0.5508, 0.0586)
O (0.8577, 0.9492, 0.5586)
O (0.9438, 0.0925, 0.0084)
O (0.9438, 0.4075, 0.5084)
F (0.1144, 0.2473, 0.7760)
F (0.1144, 0.2527, 0.2760)
F (0.1360, 0.6558, 0.9908)
F (0.1360, 0.8442, 0.4908)
F (0.3500, 0.7260, 0.3160)
F (0.3500, 0.7740, 0.8160)
F (0.3993, 0.1824, 0.4946)
F (0.3993, 0.3176, 0.9946)
F (0.6007, 0.6824, 0.0054)
F (0.6007, 0.8176, 0.5054)
F (0.6500, 0.2260, 0.1840)
F (0.6500, 0.2740, 0.6840)
F (0.8640, 0.1558, 0.5092)
F (0.8640, 0.3442, 0.0092)
F (0.8856, 0.7473, 0.7240)
F (0.8856, 0.7527, 0.2240)

Most intense lines, 2θ from 10° to 80°, low angle first:
d 4.132, I = 28
d 4.103, I = 58
d 3.755, I = 86
d 3.640, I = 100
d 3.511, I = 56
d 3.163, I = 39
d 2.995, I = 22
d 2.069, I = 16
d 2.051, I = 30
d 1.949, I = 24

---

8.
Diffraction record for TcOF4. The PXRD pattern is calculated, not measured: it uses a crystal structure in OQMD, relaxed with PBE and Cu Kα X-rays.
No peak broadening, texture or thermal motion is included.

Atomic structure:
a = 8.5700 Å, b = 8.5700 Å, c = 7.4652 Å
α = 90.00°, β = 90.00°, γ = 120.00°
Atoms (fractional coordinates):
Tc (0.0563, 0.3869, 0.2500)
Tc (0.3306, 0.9437, 0.2500)
Tc (0.3869, 0.3306, 0.7500)
Tc (0.6131, 0.6694, 0.2500)
Tc (0.6694, 0.0563, 0.7500)
Tc (0.9437, 0.6131, 0.7500)
O (0.1625, 0.6890, 0.7500)
O (0.3110, 0.4735, 0.7500)
O (0.4735, 0.1625, 0.2500)
O (0.5265, 0.8375, 0.7500)
O (0.6890, 0.5265, 0.2500)
O (0.8375, 0.3110, 0.2500)
F (0.0861, 0.1885, 0.2500)
F (0.1024, 0.9139, 0.2500)
F (0.1067, 0.4087, 0.0039)
F (0.1067, 0.4087, 0.4961)
F (0.1448, 0.6421, 0.2500)
F (0.1885, 0.1024, 0.7500)
F (0.3020, 0.8933, 0.0039)
F (0.3020, 0.8933, 0.4961)
F (0.3579, 0.5027, 0.2500)
F (0.4087, 0.3020, 0.5039)
F (0.4087, 0.3020, 0.9961)
F (0.4973, 0.8552, 0.2500)
F (0.5027, 0.1448, 0.7500)
F (0.5913, 0.6980, 0.0039)
F (0.5913, 0.6980, 0.4961)
F (0.6421, 0.4973, 0.7500)
F (0.6980, 0.1067, 0.5039)
F (0.6980, 0.1067, 0.9961)
F (0.8115, 0.8976, 0.2500)
F (0.8552, 0.3579, 0.7500)
F (0.8933, 0.5913, 0.5039)
F (0.8933, 0.5913, 0.9961)
F (0.8976, 0.0861, 0.7500)
F (0.9139, 0.8115, 0.7500)

Most intense lines, 2θ from 10° to 80°, low angle first:
d 5.263, I = 18
d 4.285, I = 27
d 3.733, I = 38
d 3.716, I = 100
d 3.323, I = 12
d 2.805, I = 23
d 2.152, I = 20
d 2.060, I = 18
d 1.866, I = 13
d 1.801, I = 18

---

9.
Diffraction record for TcOF2. The PXRD pattern is calculated, not measured: it uses a crystal structure in OQMD, relaxed with PBE and Cu Kα X-rays.
No peak broadening, texture or thermal motion is included.

Atomic structure:
a = 4.9789 Å, b = 4.9789 Å, c = 4.9789 Å
α = 147.88°, β = 136.61°, γ = 55.00°
Atoms (fractional coordinates):
Tc (0.0000, 0.0000, 0.0000)
O (0.5000, 0.0000, 0.5000)
F (0.1710, 0.6710, 0.5000)
F (0.8290, 0.3290, 0.5000)

Most intense lines, 2θ from 10° to 80°, low angle first:
d 4.416, I = 85
d 3.398, I = 100
d 2.630, I = 46
d 2.207, I = 21
d 2.012, I = 50
d 1.973, I = 45
d 1.841, I = 18
d 1.561, I = 19
d 1.508, I = 16
d 1.358, I = 24

---

10.
Diffraction record for ZrOF2. The PXRD pattern is calculated, not measured: it uses a crystal structure in OQMD, relaxed with PBE and Cu Kα X-rays.
No peak broadening, texture or thermal motion is included.

Atomic structure:
a = 5.2239 Å, b = 7.1504 Å, c = 4.9804 Å
α = 90.00°, β = 90.00°, γ = 90.00°
Atoms (fractional coordinates):
Zr (0.0216, 0.1903, 0.0000)
Zr (0.4784, 0.1903, 0.5000)
Zr (0.5216, 0.8097, 0.0000)
Zr (0.9784, 0.8097, 0.5000)
O (0.1513, 0.0379, 0.3357)
O (0.3487, 0.0379, 0.8357)
O (0.6513, 0.9621, 0.3357)
O (0.8487, 0.9621, 0.8357)
F (0.1745, 0.3491, 0.6859)
F (0.1945, 0.6886, 0.8134)
F (0.3055, 0.6886, 0.3134)
F (0.3255, 0.3491, 0.1859)
F (0.6745, 0.6509, 0.6859)
F (0.6945, 0.3114, 0.8134)
F (0.8055, 0.3114, 0.3134)
F (0.8255, 0.6509, 0.1859)

Most intense lines, 2θ from 10° to 80°, low angle first:
d 7.150, I = 28
d 3.575, I = 29
d 3.219, I = 100
d 2.538, I = 36
d 1.802, I = 17
d 1.761, I = 15
d 1.722, I = 16
d 1.609, I = 10
d 1.602, I = 36
d 1.545, I = 17